Entry 1:
Diffraction record for BaNiIr. The powder X-ray diffraction pattern is theoretical, not measured: it uses a DFT-relaxed cell (GGA-PBE, Alexandria) and Cu Kα, 1.54184 Å.
Lines closer than 0.1° are merged.

Structural model:
```
data_BaNiIr
_space_group_name_H-M_alt 'F m m m'
_space_group_IT_number 69
_space_group_name_Hall '-F 2 2'
_cell_length_a 5.640
_cell_length_b 6.834
_cell_length_c 15.498
_cell_angle_alpha 90.00
_cell_angle_beta 90.00
_cell_angle_gamma 90.00
loop_
_atom_site_label
_atom_site_type_symbol
_atom_site_fract_x
_atom_site_fract_y
_atom_site_fract_z
Ba1 Ba 0.000 0.000 0.152
Ni1 Ni 0.000 0.000 0.423
Ir1 Ir 0.250 0.250 0.000
```

Most intense lines, 2θ from 10° to 80°, by angle:
11.42°, I = 100.0, (0 0 2); 26.79°, I = 31.5, (1 1 3); 28.55°, I = 27.8, (0 2 2); 33.82°, I = 18.0, (2 0 2); 35.01°, I = 42.5, (0 2 4); 39.52°, I = 30.5, (2 0 4); 41.52°, I = 39.8, (2 2 0); 43.20°, I = 16.2, (2 2 2); 53.62°, I = 13.9, (0 4 0); 55.21°, I = 13.5, (2 2 6)

=====

Entry 2:
Diffraction record for Ba2NiIr. The powder X-ray diffraction pattern is theoretical, not measured: it uses a DFT-relaxed cell (GGA-PBE, Alexandria) and Cu Kα, 1.54184 Å.
Lines closer than 0.1° are merged.

Structural model:
```
data_Ba2NiIr
_space_group_name_H-M_alt 'A m m 2'
_space_group_IT_number 38
_space_group_name_Hall 'A 2 -2'
_cell_length_a 4.485
_cell_length_b 4.804
_cell_length_c 11.299
_cell_angle_alpha 90.00
_cell_angle_beta 90.00
_cell_angle_gamma 90.00
loop_
_atom_site_label
_atom_site_type_symbol
_atom_site_fract_x
_atom_site_fract_y
_atom_site_fract_z
Ba1 Ba 0.000 0.000 0.000
Ba2 Ba 0.500 0.000 0.287
Ni1 Ni 0.500 0.000 0.608
Ir1 Ir 0.000 0.000 0.679
```

Most intense lines, 2θ from 10° to 80°, by angle:
15.69°, I = 37.9, (0 0 2); 25.36°, I = 26.4, (1 0 2); 28.35°, I = 99.3, (1 1 1); 30.15°, I = 100.0, (0 1 3); 36.33°, I = 50.9, (1 1 3); 37.44°, I = 38.0, (0 2 0); 37.63°, I = 29.5, (1 0 4); 40.21°, I = 31.1, (2 0 0); 51.07°, I = 45.6, (2 1 3); 56.11°, I = 23.3, (2 2 0)